1.
Structure and calculated powder XRD pattern of Ba5Bi2SbI (a cell relaxed with PBE; λ = 1.5418 Å (Cu Kα)).
Lines closer than 0.1° are merged.

Atomic structure:
a b c (Å): 6.288 8.741 18.077
angles (deg): 90.00 90.00 90.00
Space group Immm (No. 71)
Asymmetric unit:
Ba 0.000 0.000 0.000 x2
Ba 0.000 0.269 0.347 x8
Bi 0.000 0.000 0.200 x4
Sb 0.000 0.500 0.500 x2
I 0.000 0.500 0.000 x2

Main lines, most intense first (2θ from 10° to 80°):
d = 3.142 Å, rel. 1000, hkl 2 0 0
d = 3.083 Å, rel. 477, hkl 1 2 3
d = 4.445 Å, rel. 445, hkl 1 1 2
d = 3.520 Å, rel. 432, hkl 1 2 1
d = 7.869 Å, rel. 367, hkl 0 1 1
d = 2.222 Å, rel. 320, hkl 2 2 4
d = 2.547 Å, rel. 238, hkl 1 2 5
d = 1.794 Å, rel. 219, hkl 2 4 0
d = 3.013 Å, rel. 218, hkl 0 0 6
d = 1.475 Å, rel. 184, hkl 2 2 10
d = 3.341 Å, rel. 181, hkl 0 1 5
d = 2.175 Å, rel. 173, hkl 2 0 6

2.
Structure and calculated powder XRD pattern of Ba4BiSbI2 (a cell relaxed with PBE; λ = 1.5418 Å (Cu Kα)).
Lines closer than 0.1° are merged.

Atomic structure:
a b c (Å): 8.888 5.104 8.906
angles (deg): 90.00 109.33 90.00
Space group P2/m (No. 10)
Asymmetric unit:
Ba 0.236 0.000 0.217 x2
Ba 0.256 0.500 0.781 x2
Bi 0.500 0.000 0.000 x1
Sb 0.000 0.500 0.000 x1
I 0.000 0.000 0.500 x1
I 0.500 0.500 0.500 x1

Main lines, most intense first (2θ from 10° to 80°):
d = 3.626 Å, rel. 1000, hkl 1 1 1
d = 2.568 Å, rel. 362, hkl 2 0 2
d = 2.562 Å, rel. 275, hkl 3 1 -1
d = 1.621 Å, rel. 180, hkl 4 2 0
d = 2.088 Å, rel. 146, hkl 2 2 -2
d = 2.552 Å, rel. 136, hkl 0 2 0
d = 2.099 Å, rel. 130, hkl 4 0 0
d = 1.813 Å, rel. 127, hkl 2 2 2
d = 1.625 Å, rel. 100, hkl 3 1 3
d = 1.476 Å, rel. 93, hkl 3 3 -1
d = 1.482 Å, rel. 69, hkl 6 0 -2
d = 8.402 Å, rel. 67, hkl 0 0 1

3.
Structure and calculated powder XRD pattern of Ba6SnBi2I3 (a cell relaxed with PBE; λ = 1.5418 Å (Cu Kα)).
Lines closer than 0.1° are merged.

Atomic structure:
a b c (Å): 22.549 5.088 10.396
angles (deg): 90.00 104.37 90.00
Space group C2/m (No. 12)
Asymmetric unit:
Ba 0.005 0.000 0.236 x4
Ba 0.160 0.500 0.097 x4
Ba 0.174 0.500 0.566 x4
Sn 0.000 0.500 0.000 x2
Bi 0.165 0.000 0.331 x4
I 0.000 0.500 0.500 x2
I 0.168 0.000 0.832 x4

Main lines, most intense first (2θ from 10° to 80°):
d = 3.637 Å, rel. 1000, hkl 1 1 -2
d = 2.556 Å, rel. 269, hkl 5 1 2
d = 2.589 Å, rel. 253, hkl 7 1 -2
d = 2.085 Å, rel. 145, hkl 6 2 0
d = 2.544 Å, rel. 134, hkl 0 2 0
d = 1.819 Å, rel. 132, hkl 2 2 -4
d = 1.619 Å, rel. 131, hkl 4 2 4
d = 2.599 Å, rel. 128, hkl 2 0 -4
d = 1.635 Å, rel. 110, hkl 8 2 -4
d = 2.097 Å, rel. 74, hkl 4 0 4
d = 1.480 Å, rel. 70, hkl 10 0 4
d = 1.612 Å, rel. 65, hkl 1 3 -2

4.
Structure and calculated powder XRD pattern of Ba3In5Bi6 (a cell relaxed with PBE; λ = 1.5418 Å (Cu Kα)).
Lines closer than 0.1° are merged.

Atomic structure:
a b c (Å): 5.267 16.670 11.259
angles (deg): 90.00 90.00 90.00
Space group Pmmn (No. 59, origin choice 2)
Asymmetric unit:
Ba 0.250 0.067 0.240 x4
Ba 0.250 0.750 0.262 x2
In 0.250 0.062 0.897 x4
In 0.250 0.602 0.536 x4
In 0.250 0.750 0.736 x2
Bi 0.250 0.089 0.627 x4
Bi 0.250 0.250 0.007 x2
Bi 0.250 0.250 0.446 x2
Bi 0.250 0.625 0.986 x4

Main lines, most intense first (2θ from 10° to 80°):
d = 3.162 Å, rel. 1000, hkl 1 3 2
d = 2.633 Å, rel. 452, hkl 2 0 0
d = 2.778 Å, rel. 291, hkl 0 6 0
d = 2.817 Å, rel. 291, hkl 1 5 0
d = 2.870 Å, rel. 223, hkl 1 2 3
d = 1.911 Å, rel. 199, hkl 2 6 0
d = 3.056 Å, rel. 188, hkl 1 0 3
d = 2.519 Å, rel. 183, hkl 1 5 2
d = 5.630 Å, rel. 160, hkl 0 0 2
d = 3.110 Å, rel. 153, hkl 0 3 3
d = 2.267 Å, rel. 145, hkl 1 3 4
d = 1.605 Å, rel. 138, hkl 3 3 2

5.
Structure and calculated powder XRD pattern of Ba5In4Bi5 (a cell relaxed with PBE; λ = 1.5418 Å (Cu Kα)).
Lines closer than 0.1° are merged.

Atomic structure:
a b c (Å): 10.795 10.795 9.117
angles (deg): 90.00 90.00 90.00
Space group P4nc (No. 104)
Asymmetric unit:
Ba 0.000 0.000 0.000 x2
Ba 0.105 0.309 0.677 x8
In 0.072 0.815 0.332 x8
Bi 0.000 0.000 0.614 x2
Bi 0.110 0.690 0.997 x8

Main lines, most intense first (2θ from 10° to 80°):
d = 3.314 Å, rel. 1000, hkl 2 1 2
d = 3.197 Å, rel. 595, hkl 3 1 1
d = 2.925 Å, rel. 462, hkl 1 0 3
d = 2.732 Å, rel. 455, hkl 3 1 2
d = 3.414 Å, rel. 451, hkl 3 1 0
d = 2.333 Å, rel. 410, hkl 4 2 1
d = 2.061 Å, rel. 227, hkl 2 1 4
d = 2.414 Å, rel. 222, hkl 4 2 0
d = 2.844 Å, rel. 218, hkl 3 2 1
d = 2.101 Å, rel. 186, hkl 5 0 1
d = 2.133 Å, rel. 184, hkl 3 2 3
d = 2.270 Å, rel. 173, hkl 3 1 3

6.
Structure and calculated powder XRD pattern of BaInBi2 (a cell relaxed with PBE; λ = 1.5418 Å (Cu Kα)).
Lines closer than 0.1° are merged.

Atomic structure:
a b c (Å): 7.058 13.430 6.989
angles (deg): 90.00 118.24 90.00
Space group C2/c (No. 15)
Asymmetric unit:
Ba 0.000 0.137 0.250 x4
In 0.000 0.274 0.750 x4
Bi 0.185 0.399 0.159 x8

Main lines, most intense first (2θ from 10° to 80°):
d = 3.122 Å, rel. 1000, hkl 2 2 -1
d = 2.808 Å, rel. 629, hkl 1 3 1
d = 3.381 Å, rel. 344, hkl 1 1 -2
d = 3.079 Å, rel. 285, hkl 0 0 2
d = 3.358 Å, rel. 272, hkl 0 4 0
d = 2.948 Å, rel. 268, hkl 0 4 1
d = 2.157 Å, rel. 261, hkl 2 2 -3
d = 4.538 Å, rel. 219, hkl 0 2 1
d = 2.751 Å, rel. 203, hkl 2 2 -2
d = 2.048 Å, rel. 196, hkl 3 1 0
d = 2.241 Å, rel. 195, hkl 0 6 0
d = 2.129 Å, rel. 193, hkl 1 5 -2

7.
Structure and calculated powder XRD pattern of BaIn6Bi2 (a cell relaxed with PBE; λ = 1.5418 Å (Cu Kα)).
Lines closer than 0.1° are merged.

Atomic structure:
a b c (Å): 5.057 5.057 11.475
angles (deg): 90.00 90.00 90.00
Space group P4/mmm (No. 123)
Asymmetric unit:
Ba 0.000 0.000 0.000 x1
In 0.000 0.000 0.500 x1
In 0.000 0.500 0.316 x4
In 0.500 0.500 0.500 x1
Bi 0.500 0.500 0.137 x2

Main lines, most intense first (2θ from 10° to 80°):
d = 2.612 Å, rel. 1000, hkl 1 1 3
d = 2.528 Å, rel. 889, hkl 2 0 0
d = 3.035 Å, rel. 733, hkl 1 1 2
d = 3.051 Å, rel. 435, hkl 1 0 3
d = 1.475 Å, rel. 338, hkl 3 1 3
d = 3.414 Å, rel. 318, hkl 1 1 1
d = 1.788 Å, rel. 313, hkl 2 2 0
d = 2.495 Å, rel. 307, hkl 1 0 4
d = 1.947 Å, rel. 247, hkl 2 1 3
d = 5.057 Å, rel. 245, hkl 1 0 0
d = 1.541 Å, rel. 243, hkl 3 1 2
d = 1.776 Å, rel. 225, hkl 2 1 4

8.
Structure and calculated powder XRD pattern of Ba4InBi8 (a cell relaxed with PBE; λ = 1.5418 Å (Cu Kα)).
Lines closer than 0.1° are merged.

Atomic structure:
a b c (Å): 4.795 5.236 19.533
angles (deg): 90.00 90.00 90.00
Space group Pmm2 (No. 25)
Asymmetric unit:
Ba 0.000 0.000 0.000 x1
Ba 0.000 0.500 0.470 x1
Ba 0.500 0.000 0.779 x1
Ba 0.500 0.500 0.278 x1
In 0.000 0.500 0.709 x1
Bi 0.000 0.000 0.314 x1
Bi 0.000 0.000 0.616 x1
Bi 0.000 0.500 0.132 x1
Bi 0.000 0.500 0.865 x1
Bi 0.500 0.000 0.145 x1
Bi 0.500 0.000 0.423 x1
Bi 0.500 0.500 0.613 x1
Bi 0.500 0.500 0.979 x1

Main lines, most intense first (2θ from 10° to 80°):
d = 3.108 Å, rel. 1000, hkl 1 1 3
d = 2.619 Å, rel. 294, hkl 0 2 0
d = 2.397 Å, rel. 220, hkl 2 0 0
d = 1.768 Å, rel. 151, hkl 2 2 0
d = 2.864 Å, rel. 144, hkl 1 1 4
d = 1.590 Å, rel. 144, hkl 1 3 3
d = 1.488 Å, rel. 120, hkl 3 1 3
d = 3.255 Å, rel. 104, hkl 0 0 6
d = 1.554 Å, rel. 87, hkl 2 2 6
d = 3.029 Å, rel. 78, hkl 1 0 5
d = 5.057 Å, rel. 75, hkl 0 1 1
d = 2.790 Å, rel. 72, hkl 0 0 7

9.
Structure and calculated powder XRD pattern of BaIn12Bi6 (a cell relaxed with PBE; λ = 1.5418 Å (Cu Kα)).
Lines closer than 0.1° are merged.

Atomic structure:
a b c (Å): 14.5577 14.5577 10.3595
angles (deg): 90.00 90.00 120.00
Space group R-3m (No. 166, hexagonal axes)
Asymmetric unit:
Ba 0.0000 0.0000 0.0000 x3
In 0.0000 0.3897 0.5000 x18
In 0.0779 0.1557 0.3080 x18
Bi 0.0369 0.5185 0.2352 x18

Main lines, most intense first (2θ from 10° to 80°):
d = 2.786 Å, rel. 1000, hkl 3 2 1
d = 2.396 Å, rel. 835, hkl 0 2 4
d = 2.525 Å, rel. 741, hkl 2 3 2
d = 2.267 Å, rel. 728, hkl 5 0 2
d = 3.120 Å, rel. 727, hkl 1 1 3
d = 3.313 Å, rel. 671, hkl 1 3 1
d = 3.639 Å, rel. 551, hkl 2 2 0
d = 2.693 Å, rel. 540, hkl 0 4 2
d = 4.002 Å, rel. 518, hkl 2 0 2
d = 2.668 Å, rel. 484, hkl 0 3 3
d = 1.743 Å, rel. 380, hkl 5 2 3
d = 1.461 Å, rel. 332, hkl 8 1 1

10.
Structure and calculated powder XRD pattern of Ba2Li4InBi3 (a cell relaxed with PBE; λ = 1.5418 Å (Cu Kα)).
Lines closer than 0.1° are merged.

Atomic structure:
a b c (Å): 4.928 4.928 11.775
angles (deg): 90.00 90.00 90.00
Space group P-4m2 (No. 115)
Asymmetric unit:
Ba 0.000 0.500 0.238 x2
Li 0.000 0.000 0.000 x1
Li 0.000 0.500 0.631 x2
Li 0.500 0.500 0.000 x1
In 0.000 0.000 0.500 x1
Bi 0.000 0.500 0.868 x2
Bi 0.500 0.500 0.500 x1

Main lines, most intense first (2θ from 10° to 80°):
d = 3.341 Å, rel. 1000, hkl 1 1 1
d = 2.999 Å, rel. 828, hkl 1 1 2
d = 2.464 Å, rel. 636, hkl 2 0 0
d = 3.070 Å, rel. 605, hkl 1 0 3
d = 3.779 Å, rel. 507, hkl 1 0 2
d = 3.925 Å, rel. 483, hkl 0 0 3
d = 2.087 Å, rel. 363, hkl 2 0 3
d = 1.922 Å, rel. 321, hkl 2 1 3
d = 2.125 Å, rel. 294, hkl 1 0 5
d = 1.609 Å, rel. 249, hkl 2 1 5
d = 2.249 Å, rel. 239, hkl 1 1 4
d = 1.742 Å, rel. 226, hkl 2 2 0

11.
Structure and calculated powder XRD pattern of BaMgInBi2 (a cell relaxed with PBE; λ = 1.5418 Å (Cu Kα)).
Lines closer than 0.1° are merged.

Atomic structure:
a b c (Å): 6.505 15.618 6.963
angles (deg): 90.00 90.00 90.00
Space group Cmme (No. 67)
Asymmetric unit:
Ba 0.000 0.250 0.223 x4
Mg 0.250 0.000 0.500 x4
In 0.000 0.000 0.000 x4
Bi 0.000 0.139 0.709 x8

Main lines, most intense first (2θ from 10° to 80°):
d = 2.610 Å, rel. 1000, hkl 1 5 1
d = 3.510 Å, rel. 917, hkl 1 3 1
d = 3.253 Å, rel. 705, hkl 2 0 0
d = 4.548 Å, rel. 469, hkl 1 1 1
d = 3.180 Å, rel. 362, hkl 0 2 2
d = 1.726 Å, rel. 295, hkl 3 5 1
d = 2.599 Å, rel. 294, hkl 0 4 2
d = 1.673 Å, rel. 280, hkl 2 8 0
d = 3.011 Å, rel. 260, hkl 1 1 2
d = 3.482 Å, rel. 239, hkl 0 0 2
d = 2.377 Å, rel. 234, hkl 2 0 2
d = 2.031 Å, rel. 208, hkl 2 4 2

12.
Structure and calculated powder XRD pattern of Ba2Na3InBi4 (a cell relaxed with PBE; λ = 1.5418 Å (Cu Kα)).
Lines closer than 0.1° are merged.

Atomic structure:
a b c (Å): 5.240 5.240 12.713
angles (deg): 90.00 90.00 90.00
Space group P-4m2 (No. 115)
Asymmetric unit:
Ba 0.000 0.500 0.232 x2
Na 0.000 0.500 0.871 x2
Na 0.500 0.500 0.500 x1
In 0.000 0.000 0.500 x1
Bi 0.000 0.000 0.000 x1
Bi 0.000 0.500 0.636 x2
Bi 0.500 0.500 0.000 x1

Main lines, most intense first (2θ from 10° to 80°):
d = 3.201 Å, rel. 1000, hkl 1 1 2
d = 2.620 Å, rel. 639, hkl 2 0 0
d = 4.043 Å, rel. 427, hkl 1 0 2
d = 3.557 Å, rel. 388, hkl 1 1 1
d = 3.295 Å, rel. 383, hkl 1 0 3
d = 2.412 Å, rel. 365, hkl 1 1 4
d = 1.604 Å, rel. 267, hkl 3 1 2
d = 1.853 Å, rel. 231, hkl 2 2 0
d = 2.288 Å, rel. 218, hkl 1 0 5
d = 2.051 Å, rel. 205, hkl 2 1 3
d = 1.723 Å, rel. 183, hkl 2 1 5
d = 2.199 Å, rel. 177, hkl 2 1 2